Hf2PAu2: simulated powder XRD pattern (Cu Ka), based on a structure optimized by DFT (PBE).

Atomic structure:
```
Hf2PAu2
1.0
6.8763 0.0000 0.0000
0.0000 6.8763 0.0000
0.0000 0.0000 4.2576
Hf P Au
4 2 4
Direct
0.1658 0.3342 0.0000
0.3342 0.8342 0.0000
0.6658 0.1658 0.0000
0.8342 0.6658 0.0000
0.0000 0.0000 0.0000
0.5000 0.5000 0.0000
0.1410 0.6410 0.5000
0.3590 0.1410 0.5000
0.6410 0.8590 0.5000
0.8590 0.3590 0.5000
```

Principal peaks in the range 10° ≤ 2θ ≤ 80°, sorted by position:
d = 4.862 Å, intensity 18.9; d = 3.438 Å, intensity 8.8; d = 2.493 Å, intensity 100.0; d = 2.174 Å, intensity 19.5; d = 2.129 Å, intensity 15.1; d = 1.621 Å, intensity 8.6; d = 1.553 Å, intensity 10.7; d = 1.521 Å, intensity 12.7; d = 1.289 Å, intensity 21.0; d = 1.223 Å, intensity 14.2

---

LiTm2Hg7: simulated powder XRD pattern (Cu Ka), based on a structure optimized by DFT (PBE).

Atomic structure:
```
LiTm2Hg7
1.0
4.9752 0.0000 0.0000
-2.4876 4.3087 0.0000
0.0000 0.0000 11.8569
Li Tm Hg
1 2 7
Direct
0.0000 0.0000 0.0000
0.3333 0.6667 0.8104
0.6667 0.3333 0.6098
0.0000 0.0000 0.4429
0.0000 0.0000 0.7286
0.3333 0.6667 0.0608
0.3333 0.6667 0.3032
0.3333 0.6667 0.5491
0.6667 0.3333 0.1963
0.6667 0.3333 0.9168
```

Principal peaks in the range 10° ≤ 2θ ≤ 80°, sorted by position:
d = 4.309 Å, intensity 13.1; d = 4.050 Å, intensity 22.9; d = 2.913 Å, intensity 50.6; d = 2.488 Å, intensity 100.0; d = 2.442 Å, intensity 78.9; d = 1.892 Å, intensity 14.9; d = 1.743 Å, intensity 28.9; d = 1.506 Å, intensity 14.4; d = 1.436 Å, intensity 18.5; d = 1.427 Å, intensity 30.4

---

CsLiMg2Br6: simulated powder XRD pattern (Cu Ka), based on a structure optimized by DFT (PBE).

Atomic structure:
```
CsLiMg2Br6
1.0
7.1346 -7.6307 0.0000
7.1346 7.6307 0.0000
-2.8142 0.0000 7.4946
Cs Li Mg Br
2 2 4 12
Direct
0.1155 0.8845 0.7500
0.8845 0.1155 0.2500
0.2164 0.7836 0.2500
0.7836 0.2164 0.7500
0.2369 0.3896 0.8294
0.3896 0.2369 0.3294
0.6104 0.7631 0.6706
0.7631 0.6104 0.1706
0.0318 0.2201 0.7227
0.1864 0.6174 0.9544
0.2201 0.0318 0.2227
0.3061 0.4095 0.5466
0.3826 0.8136 0.5456
0.4095 0.3061 0.0466
0.5905 0.6939 0.9534
0.6174 0.1864 0.4544
0.6939 0.5905 0.4534
0.7799 0.9682 0.7773
0.8136 0.3826 0.0456
0.9682 0.7799 0.2773
```

Principal peaks in the range 10° ≤ 2θ ≤ 80°, sorted by position:
d = 5.358 Å, intensity 61.3; d = 4.803 Å, intensity 47.1; d = 4.269 Å, intensity 92.3; d = 3.861 Å, intensity 55.2; d = 3.414 Å, intensity 100.0; d = 3.242 Å, intensity 87.3; d = 3.218 Å, intensity 92.5; d = 2.976 Å, intensity 54.1; d = 2.852 Å, intensity 46.2; d = 2.673 Å, intensity 52.7

---

Pm3InGa2: simulated powder XRD pattern (Cu Ka), based on a structure optimized by DFT (PBE).

Atomic structure:
```
Pm3InGa2
1.0
3.7023 0.0000 0.0000
0.0000 3.7023 0.0000
0.0000 0.0000 11.3761
Pm In Ga
3 1 2
Direct
0.0000 0.0000 0.0000
0.0000 0.0000 0.3200
0.0000 0.0000 0.6800
0.5000 0.5000 0.5000
0.5000 0.5000 0.1604
0.5000 0.5000 0.8396
```

Principal peaks in the range 10° ≤ 2θ ≤ 80°, sorted by position:
d = 3.792 Å, intensity 3.7; d = 3.702 Å, intensity 7.7; d = 2.649 Å, intensity 100.0; d = 2.618 Å, intensity 49.8; d = 1.896 Å, intensity 8.5; d = 1.851 Å, intensity 17.8; d = 1.536 Å, intensity 17.0; d = 1.517 Å, intensity 35.8; d = 1.325 Å, intensity 10.3; d = 1.309 Å, intensity 5.6

---

CaWN3: simulated powder XRD pattern (Cu Ka), based on a structure optimized by DFT (PBE).

Atomic structure:
```
CaWN3
1.0
5.4036 0.0000 0.0000
0.0000 3.4277 0.0000
-0.0554 0.0000 7.9017
Ca W N
2 2 6
Direct
0.0000 0.0000 0.0000
0.0201 0.0000 0.5002
0.5160 0.5000 0.2319
0.5618 0.5000 0.7770
0.2195 0.5000 0.8479
0.2435 0.5000 0.6657
0.3305 0.0000 0.2468
0.6751 0.5000 0.0225
0.7199 0.0000 0.7332
0.7716 0.5000 0.3752
```

Principal peaks in the range 10° ≤ 2θ ≤ 80°, sorted by position:
d = 5.404 Å, intensity 96.1; d = 3.951 Å, intensity 48.6; d = 3.428 Å, intensity 38.1; d = 3.200 Å, intensity 70.4; d = 3.179 Å, intensity 54.9; d = 2.894 Å, intensity 100.0; d = 2.702 Å, intensity 30.0; d = 2.589 Å, intensity 64.2; d = 1.874 Å, intensity 31.6; d = 1.634 Å, intensity 32.1

---

LiAg2F4: simulated powder XRD pattern (Cu Ka), based on a structure optimized by DFT (PBE).

Atomic structure:
```
LiAg2F4
1.0
5.7042 0.0000 0.0000
0.0000 5.9550 0.0000
0.0000 0.0000 11.2643
Li Ag F
4 8 16
Direct
0.0000 0.0000 0.0000
0.0000 0.5000 0.5000
0.5000 0.0000 0.5000
0.5000 0.5000 0.0000
0.0027 0.0718 0.3590
0.0027 0.4282 0.8590
0.4973 0.5718 0.3590
0.4973 0.9282 0.8590
0.5027 0.0718 0.1410
0.5027 0.4282 0.6410
0.9973 0.5718 0.1410
0.9973 0.9282 0.6410
0.1498 0.5832 0.6593
0.1498 0.9168 0.1593
0.1874 0.7392 0.9279
0.1874 0.7608 0.4279
0.3126 0.2392 0.9279
0.3126 0.2608 0.4279
0.3502 0.0832 0.6593
0.3502 0.4168 0.1593
0.6498 0.5832 0.8407
0.6498 0.9168 0.3407
0.6874 0.7392 0.5721
0.6874 0.7608 0.0721
0.8126 0.2392 0.5721
0.8126 0.2608 0.0721
0.8502 0.0832 0.8407
0.8502 0.4168 0.3407
```

Principal peaks in the range 10° ≤ 2θ ≤ 80°, sorted by position:
d = 3.869 Å, intensity 100.0; d = 3.325 Å, intensity 48.6; d = 2.879 Å, intensity 20.3; d = 2.852 Å, intensity 32.2; d = 2.816 Å, intensity 49.3; d = 2.775 Å, intensity 89.7; d = 2.026 Å, intensity 28.2; d = 2.004 Å, intensity 22.3; d = 1.779 Å, intensity 51.3; d = 1.631 Å, intensity 28.8